Computed powder diffraction line list of MgCrS2 for Cu Ka, from a GGA-PBE-relaxed structure.
Kinematic intensities with the Lorentz-polarization factor, no thermal factor.

Cell and atoms:
a = 3.5991 Å, b = 3.5991 Å, c = 18.6765 Å
α = 90.00°, β = 90.00°, γ = 120.00°
Space group R3m (No. 160, hexagonal axes)
Asymmetric unit:
Mg: 0.0000 0.0000 0.0000
Cr: 0.0000 0.0000 0.1675
S: 0.0000 0.0000 0.5785
S: 0.0000 0.0000 0.7563

Top 10 peaks for 10 to 90 degrees two-theta, in order of rising 2θ:
14.2°, rel. 29, (0 0 3); 30.2°, rel. 59, (0 1 2); 37.6°, rel. 100, (0 1 5); 44.7°, rel. 45, (1 0 7); 50.7°, rel. 48, (1 1 0); 57.5°, rel. 13, (1 0 10); 64.8°, rel. 17, (2 0 5); 69.9°, rel. 11, (0 2 7); 81.8°, rel. 20, (1 1 12); 86.7°, rel. 15, (1 2 5)

***

Computed powder diffraction line list of MgScBO4 for Cu Ka, from a GGA-PBE-relaxed structure.
Kinematic intensities with the Lorentz-polarization factor, no thermal factor.

Cell and atoms:
a = 3.2624 Å, b = 9.5263 Å, c = 9.5424 Å
α = 90.00°, β = 90.00°, γ = 90.00°
Space group Pmc2_1 (No. 26)
Asymmetric unit:
Mg: 0.0000 0.0582 0.0000
Mg: 0.0000 0.3187 0.5209
Sc: 0.5000 0.1675 0.2936
Sc: 0.5000 0.4433 0.8049
B: 0.0000 0.3719 0.0768
B: 0.5000 0.1261 0.7282
O: 0.0000 0.1343 0.4122
O: 0.0000 0.2409 0.1362
O: 0.0000 0.3850 0.9313
O: 0.0000 0.4973 0.1547
O: 0.5000 0.0044 0.6448
O: 0.5000 0.1102 0.8715
O: 0.5000 0.2590 0.6651
O: 0.5000 0.3680 0.3882

Top 10 peaks for 10 to 90 degrees two-theta, in order of rising 2θ:
20.8°, rel. 30, (0 2 1); 29.6°, rel. 22, (0 3 1); 33.3°, rel. 100, (1 0 2); 33.9°, rel. 57, (0 3 2); 42.4°, rel. 22, (0 4 2); 44.1°, rel. 31, (1 2 3); 49.2°, rel. 21, (1 3 3); 55.8°, rel. 30, (1 3 4); 56.4°, rel. 24, (2 0 0); 59.4°, rel. 26, (1 2 5)

***

Computed powder diffraction line list of TaNbTc2 for Cu Ka, from a GGA-PBE-relaxed structure.
Kinematic intensities with the Lorentz-polarization factor, no thermal factor.

Cell and atoms:
a = 6.3872 Å, b = 6.3872 Å, c = 6.3872 Å
α = 90.00°, β = 90.00°, γ = 90.00°
Space group Fm-3m (No. 225)
Asymmetric unit:
Ta: 0.0000 0.0000 0.0000
Nb: 0.0000 0.0000 0.5000
Tc: 0.2500 0.2500 0.2500

Top 10 peaks for 10 to 90 degrees two-theta, in order of rising 2θ:
24.1°, rel. 7, (1 1 1); 27.9°, rel. 3, (2 0 0); 39.9°, rel. 100, (2 2 0); 47.2°, rel. 4, (3 1 1); 57.7°, rel. 17, (4 0 0); 63.5°, rel. 2, (3 3 1); 65.3°, rel. 1, (4 2 0); 72.5°, rel. 34, (4 2 2); 77.7°, rel. 1, (5 1 1); 86.1°, rel. 11, (4 4 0)

***

Computed powder diffraction line list of LiAl4Cd2O8 for Cu Ka, from a GGA-PBE-relaxed structure.
Kinematic intensities with the Lorentz-polarization factor, no thermal factor.

Cell and atoms:
a = 5.8254 Å, b = 6.1368 Å, c = 9.3113 Å
α = 90.00°, β = 90.00°, γ = 90.00°
Space group Imm2 (No. 44)
Asymmetric unit:
Li: 0.0000 0.0000 0.0000
Al: 0.0000 0.2636 0.4149
Al: 0.2407 0.5000 0.6997
Cd: 0.0000 0.0000 0.7412
Cd: 0.0000 0.5000 0.0577
O: 0.0000 0.1969 0.1863
O: 0.0000 0.3080 0.6357
O: 0.2139 0.0000 0.3982
O: 0.2154 0.5000 0.4116

Top 10 peaks for 10 to 90 degrees two-theta, in order of rising 2θ:
17.3°, rel. 42, (0 1 1); 28.5°, rel. 100, (1 1 2); 29.1°, rel. 33, (0 2 0); 32.7°, rel. 55, (1 0 3); 34.4°, rel. 42, (1 2 1); 35.5°, rel. 61, (2 1 1); 44.3°, rel. 30, (1 2 3); 51.3°, rel. 28, (0 1 5); 55.8°, rel. 34, (2 3 1); 59.0°, rel. 27, (2 2 4)

***

Computed powder diffraction line list of Tb5Si3 for Cu Ka, from a GGA-PBE-relaxed structure.
Kinematic intensities with the Lorentz-polarization factor, no thermal factor.

Cell and atoms:
a = 8.4931 Å, b = 8.4931 Å, c = 6.4144 Å
α = 90.00°, β = 90.00°, γ = 120.00°
Space group P6_3/mcm (No. 193)
Asymmetric unit:
Tb: 0.0000 0.2434 0.2500
Tb: 0.3333 0.6667 0.0000
Si: 0.0000 0.3944 0.7500

Top 10 peaks for 10 to 90 degrees two-theta, in order of rising 2θ:
24.2°, rel. 36, (2 0 0); 25.2°, rel. 50, (1 1 1); 30.4°, rel. 54, (1 0 2); 32.2°, rel. 53, (2 1 0); 35.1°, rel. 95, (1 1 2); 35.2°, rel. 100, (2 1 1); 36.7°, rel. 40, (3 0 0); 51.6°, rel. 30, (2 2 2); 57.4°, rel. 34, (0 0 4); 57.8°, rel. 33, (4 0 2)

***

Computed powder diffraction line list of PmBiRh2 for Cu Ka, from a GGA-PBE-relaxed structure.
Kinematic intensities with the Lorentz-polarization factor, no thermal factor.

Cell and atoms:
a = 6.8891 Å, b = 6.8891 Å, c = 6.8891 Å
α = 90.00°, β = 90.00°, γ = 90.00°
Space group Fm-3m (No. 225)
Asymmetric unit:
Pm: 0.0000 0.0000 0.0000
Bi: 0.0000 0.0000 0.5000
Rh: 0.2500 0.2500 0.2500

Top 10 peaks for 10 to 90 degrees two-theta, in order of rising 2θ:
22.4°, rel. 2, (1 1 1); 25.9°, rel. 8, (2 0 0); 36.9°, rel. 100, (2 2 0); 43.6°, rel. 1, (3 1 1); 45.6°, rel. 2, (2 2 2); 53.2°, rel. 18, (4 0 0); 60.1°, rel. 3, (4 2 0); 66.5°, rel. 36, (4 2 2); 78.5°, rel. 11, (4 4 0); 84.4°, rel. 2, (6 0 0)

***

Computed powder diffraction line list of Cs2UP2O10 for Cu Ka, from a GGA-PBE-relaxed structure.
Kinematic intensities with the Lorentz-polarization factor, no thermal factor.

Cell and atoms:
a = 6.3928 Å, b = 9.3419 Å, c = 10.0448 Å
α = 90.00°, β = 97.76°, γ = 90.00°
Space group P2_1/c (No. 14)
Asymmetric unit:
Cs: 0.0002 0.1919 0.1468
U: 0.5000 0.0000 0.5000
P: 0.4753 0.6502 0.6598
O: 0.2221 0.0395 0.4437
O: 0.2943 0.5519 0.6020
O: 0.3112 0.1149 0.8848
O: 0.4091 0.6924 0.1174
O: 0.5003 0.1436 0.6829

Top 10 peaks for 10 to 90 degrees two-theta, in order of rising 2θ:
13.0°, rel. 62, (0 1 1); 18.2°, rel. 98, (1 1 -1); 20.0°, rel. 62, (1 1 1); 23.2°, rel. 65, (1 1 -2); 23.7°, rel. 100, (1 2 0); 26.0°, rel. 81, (1 1 2); 26.2°, rel. 58, (0 2 2); 28.2°, rel. 61, (2 0 0); 28.6°, rel. 78, (0 1 3); 30.1°, rel. 70, (0 3 1)

***

Computed powder diffraction line list of DyMn2Si2 for Cu Ka, from a GGA-PBE-relaxed structure.
Kinematic intensities with the Lorentz-polarization factor, no thermal factor.

Cell and atoms:
a = 3.8953 Å, b = 3.8953 Å, c = 10.3139 Å
α = 90.00°, β = 90.00°, γ = 90.00°
Space group I4/mmm (No. 139)
Asymmetric unit:
Dy: 0.0000 0.0000 0.0000
Mn: 0.0000 0.5000 0.2500
Si: 0.0000 0.0000 0.3797

Top 10 peaks for 10 to 90 degrees two-theta, in order of rising 2θ:
24.4°, rel. 52, (1 0 1); 34.8°, rel. 78, (0 0 4); 37.0°, rel. 100, (1 1 2); 46.6°, rel. 36, (2 0 0); 50.0°, rel. 25, (1 0 5); 59.5°, rel. 40, (2 0 4); 63.8°, rel. 17, (1 1 6); 68.1°, rel. 15, (2 2 0); 70.8°, rel. 17, (2 1 5); 80.1°, rel. 20, (3 1 2)

***

Computed powder diffraction line list of Mg6NbSi for Cu Ka, from a GGA-PBE-relaxed structure.
Kinematic intensities with the Lorentz-polarization factor, no thermal factor.

Cell and atoms:
a = 4.8173 Å, b = 6.2509 Å, c = 10.6138 Å
α = 90.00°, β = 90.00°, γ = 90.00°
Space group Amm2 (No. 38)
Asymmetric unit:
Mg: 0.0000 0.0000 0.0000
Mg: 0.0000 0.2456 0.2526
Mg: 0.5000 0.0000 0.8341
Mg: 0.5000 0.2470 0.5855
Nb: 0.5000 0.0000 0.3455
Si: 0.0000 0.0000 0.4743

Top 10 peaks for 10 to 90 degrees two-theta, in order of rising 2θ:
16.5°, rel. 48, (0 1 1); 16.7°, rel. 25, (0 0 2); 24.8°, rel. 24, (1 1 1); 33.3°, rel. 39, (0 2 2); 37.3°, rel. 39, (2 0 0); 38.3°, rel. 100, (1 2 2); 38.7°, rel. 59, (1 0 4); 50.9°, rel. 25, (2 2 2); 60.1°, rel. 18, (0 2 6); 72.9°, rel. 34, (2 2 6)

***

Computed powder diffraction line list of CeU4C5 for Cu Ka, from a GGA-PBE-relaxed structure.
Kinematic intensities with the Lorentz-polarization factor, no thermal factor.

Cell and atoms:
a = 3.5325 Å, b = 3.5325 Å, c = 24.7873 Å
α = 90.00°, β = 90.00°, γ = 90.00°
Space group I4/mmm (No. 139)
Asymmetric unit:
Ce: 0.0000 0.0000 0.0000
U: 0.0000 0.0000 0.2006
U: 0.0000 0.0000 0.4005
C: 0.0000 0.0000 0.1051
C: 0.0000 0.0000 0.3000
C: 0.0000 0.0000 0.5000

Top 10 peaks for 10 to 90 degrees two-theta, in order of rising 2θ:
31.1°, rel. 100, (1 0 5); 36.0°, rel. 43, (1 1 0); 36.2°, rel. 21, (0 0 10); 51.8°, rel. 15, (2 0 0); 52.0°, rel. 29, (1 1 10); 61.6°, rel. 31, (2 1 5); 62.0°, rel. 15, (1 0 15); 64.8°, rel. 15, (2 0 10); 84.9°, rel. 14, (2 1 15); 87.3°, rel. 7, (3 1 0)